[1]
This entry pairs a crystal structure of V4Ni6Pt7 with its computed X-ray powder pattern. Radiation: Cu Kα (λ = 1.5418 Å). Structure: the PBE geometry in Alexandria.
Peak positions follow from Bragg's law for the DFT cell and can differ from measured ones.

Cell and atoms:
```
data_V4Ni6Pt7
_chemical_formula_sum 'V8 Ni12 Pt14'
_cell_length_a 7.8803
_cell_length_b 7.8803
_cell_length_c 7.8803
_cell_angle_alpha 90.00
_cell_angle_beta 90.00
_cell_angle_gamma 90.00
_symmetry_space_group_name_H-M 'I m -3 m'
_symmetry_Int_Tables_number 229
_symmetry_space_group_name_Hall '-I 4 2 3'
loop_
_atom_site_label
_atom_site_type_symbol
_atom_site_fract_x
_atom_site_fract_y
_atom_site_fract_z
V1 V 0.2500 0.2500 0.2500
Ni1 Ni 0.0000 0.0000 0.2989
Pt1 Pt 0.0000 0.0000 0.0000
Pt2 Pt 0.0000 0.2500 0.5000
```

Largest 8 diffraction maxima, low angle first, 10° ≤ 2θ ≤ 80°:
2θ = 22.57°, 3.940 Å, intensity 399, (2 0 0)
2θ = 27.73°, 3.217 Å, intensity 525, (2 1 1)
2θ = 39.62°, 2.275 Å, intensity 1000, (2 2 2)
2θ = 42.94°, 2.106 Å, intensity 627, (3 2 1)
2θ = 46.07°, 1.970 Å, intensity 759, (4 0 0)
2θ = 54.63°, 1.680 Å, intensity 248, (3 3 2)
2θ = 67.20°, 1.393 Å, intensity 442, (4 4 0)
2θ = 74.18°, 1.278 Å, intensity 156, (6 1 1)


[2]
This entry pairs a crystal structure of VNi7Pt2 with its computed X-ray powder pattern. Radiation: Cu Kα (λ = 1.5418 Å). Structure: the PBE geometry in Alexandria.
Peak positions follow from Bragg's law for the DFT cell and can differ from measured ones.

Cell and atoms:
```
data_VNi7Pt2
_chemical_formula_sum 'V2 Ni14 Pt4'
_cell_length_a 13.4991
_cell_length_b 2.6612
_cell_length_c 7.0166
_cell_angle_alpha 90.00
_cell_angle_beta 105.52
_cell_angle_gamma 90.00
_symmetry_space_group_name_H-M 'C 1 2/m 1'
_symmetry_Int_Tables_number 12
loop_
_symmetry_equiv_pos_as_xyz
'x,y,z'
'-x,-y,-z'
'-x,y,-z'
'x,-y,z'
'x+1/2,y+1/2,z'
'-x+1/2,-y+1/2,-z'
'-x+1/2,y+1/2,-z'
'x+1/2,-y+1/2,z'
loop_
_atom_site_label
_atom_site_type_symbol
_atom_site_fract_x
_atom_site_fract_y
_atom_site_fract_z
V1 V 0.0000 0.0000 0.0000
Ni1 Ni 0.0000 0.0000 0.5000
Ni2 Ni 0.0907 0.5000 0.8032
Ni3 Ni 0.0984 0.5000 0.2898
Ni4 Ni 0.1933 0.0000 0.0826
Pt1 Pt 0.1985 0.0000 0.6158
```

Largest 8 diffraction maxima, low angle first, 10° ≤ 2θ ≤ 80°:
2θ = 13.10°, 6.761 Å, intensity 340, (0 0 1)
2θ = 13.62°, 6.503 Å, intensity 367, (2 0 0)
2θ = 21.34°, 4.163 Å, intensity 217, (2 0 1)
2θ = 42.64°, 2.120 Å, intensity 1000, (1 1 -2)
2θ = 43.13°, 2.098 Å, intensity 472, (6 0 -2)
2θ = 43.48°, 2.082 Å, intensity 465, (4 0 2)
2θ = 48.97°, 1.860 Å, intensity 666, (5 1 0)
2θ = 52.15°, 1.754 Å, intensity 257, (2 0 -4)


[3]
This entry pairs a crystal structure of V2NiPt5 with its computed X-ray powder pattern. Radiation: Cu Kα (λ = 1.5418 Å). Structure: the PBE geometry in Alexandria.
Peak positions follow from Bragg's law for the DFT cell and can differ from measured ones.

Cell and atoms:
```
data_V2NiPt5
_chemical_formula_sum 'V4 Ni2 Pt10'
_cell_length_a 5.4843
_cell_length_b 10.9477
_cell_length_c 3.8751
_cell_angle_alpha 90.00
_cell_angle_beta 90.00
_cell_angle_gamma 90.00
_symmetry_space_group_name_H-M 'P b a m'
_symmetry_Int_Tables_number 55
loop_
_symmetry_equiv_pos_as_xyz
'x,y,z'
'-x,-y,-z'
'-x,-y,z'
'x,y,-z'
'x+1/2,-y+1/2,-z'
'-x+1/2,y+1/2,z'
'-x+1/2,y+1/2,-z'
'x+1/2,-y+1/2,z'
loop_
_atom_site_label
_atom_site_type_symbol
_atom_site_fract_x
_atom_site_fract_y
_atom_site_fract_z
V1 V 0.2489 0.1234 0.0000
Ni1 Ni 0.0000 0.5000 0.5000
Pt1 Pt 0.0000 0.0000 0.5000
Pt2 Pt 0.0110 0.7461 0.5000
Pt3 Pt 0.2361 0.3817 0.0000
```

Largest 8 diffraction maxima, low angle first, 10° ≤ 2θ ≤ 80°:
2θ = 22.95°, 3.874 Å, intensity 150, (1 2 0)
2θ = 29.39°, 3.039 Å, intensity 65, (1 3 0)
2θ = 32.69°, 2.740 Å, intensity 129, (1 2 1)
2θ = 40.32°, 2.237 Å, intensity 1000, (0 4 1)
2θ = 46.90°, 1.937 Å, intensity 485, (0 0 2)
2θ = 52.83°, 1.733 Å, intensity 69, (1 2 2)
2θ = 68.48°, 1.370 Å, intensity 255, (2 4 2)
2θ = 68.58°, 1.368 Å, intensity 50, (0 8 0)


[4]
This entry pairs a crystal structure of V3NiPt4 with its computed X-ray powder pattern. Radiation: Cu Kα (λ = 1.5418 Å). Structure: the PBE geometry in Alexandria.
Peak positions follow from Bragg's law for the DFT cell and can differ from measured ones.

Cell and atoms:
```
data_V3NiPt4
_chemical_formula_sum 'V3 Ni1 Pt4'
_cell_length_a 3.8284
_cell_length_b 3.8500
_cell_length_c 7.6540
_cell_angle_alpha 90.00
_cell_angle_beta 90.00
_cell_angle_gamma 90.00
_symmetry_space_group_name_H-M 'P m m m'
_symmetry_Int_Tables_number 47
loop_
_symmetry_equiv_pos_as_xyz
'x,y,z'
'-x,-y,-z'
'-x,-y,z'
'x,y,-z'
'x,-y,-z'
'-x,y,z'
'-x,y,-z'
'x,-y,z'
loop_
_atom_site_label
_atom_site_type_symbol
_atom_site_fract_x
_atom_site_fract_y
_atom_site_fract_z
V1 V 0.0000 0.0000 0.0000
V2 V 0.5000 0.0000 0.2465
Ni1 Ni 0.0000 0.0000 0.5000
Pt1 Pt 0.0000 0.5000 0.2504
Pt2 Pt 0.5000 0.5000 0.0000
Pt3 Pt 0.5000 0.5000 0.5000
```

Largest 8 diffraction maxima, low angle first, 10° ≤ 2θ ≤ 80°:
2θ = 23.10°, 3.850 Å, intensity 331, (0 1 0)
2θ = 33.10°, 2.707 Å, intensity 275, (1 0 2)
2θ = 40.75°, 2.214 Å, intensity 1000, (1 1 2)
2θ = 47.22°, 1.925 Å, intensity 164, (0 2 0)
2θ = 47.51°, 1.914 Å, intensity 321, (2 0 0)
2θ = 53.47°, 1.714 Å, intensity 152, (2 1 0)
2θ = 58.87°, 1.569 Å, intensity 115, (1 2 2)
2θ = 69.22°, 1.357 Å, intensity 206, (2 2 0)